# 1
Diffraction record for KNdV4O12. The X-ray powder pattern is theoretical, not measured: it uses DFT lattice parameters and positions (GGA+U) and Cu Ka.

```
data_KNdV4O12
_space_group_name_H-M_alt 'A m m 2'
_space_group_IT_number 38
_space_group_name_Hall 'A 2 -2'
_cell_length_a 7.252
_cell_length_b 7.226
_cell_length_c 9.819
_cell_angle_alpha 90.00
_cell_angle_beta 90.00
_cell_angle_gamma 90.00
loop_
_atom_site_label
_atom_site_fract_x
_atom_site_fract_y
_atom_site_fract_z
K1 0.000 0.000 0.000
Nd1 0.500 0.000 0.538
V1 0.252 0.245 0.262
O1 0.000 0.243 0.736
O2 0.249 0.000 0.214
O3 0.260 0.000 0.707
O4 0.279 0.236 0.431
O5 0.500 0.249 0.196
```

Principal peaks in the range 2θ = 15–90°, by intensity:
| Position (°2θ) | d/Å | Rel. int. | index |
| --- | --- | --- | --- |
| 30.69 | 2.913 | 100.0 | 0 2 2 |
| 19.56 | 4.539 | 83.4 | 1 1 1 |
| 35.06 | 2.559 | 26.8 | 2 2 0 |
| 15.22 | 5.820 | 24.5 | 0 1 1 |
| 32.47 | 2.757 | 20.8 | 1 1 3 |
| 62.27 | 1.491 | 19.3 | 0 2 6 |
| 51.59 | 1.772 | 17.5 | 2 2 4 |
| 36.61 | 2.455 | 17.4 | 0 0 4 |
| 50.52 | 1.806 | 14.2 | 0 4 0 |
| 60.14 | 1.539 | 13.8 | 4 2 2 |



# 2
Diffraction record for V3OF11. The X-ray powder pattern is theoretical, not measured: it uses DFT lattice parameters and positions (GGA+U) and Cu Ka.

```
data_V3OF11
_space_group_name_H-M_alt 'P 1'
_space_group_IT_number 1
_space_group_name_Hall 'P 1'
_cell_length_a 5.265
_cell_length_b 5.465
_cell_length_c 14.836
_cell_angle_alpha 100.26
_cell_angle_beta 90.01
_cell_angle_gamma 90.00
loop_
_atom_site_label
_atom_site_fract_x
_atom_site_fract_y
_atom_site_fract_z
V1 0.000 0.000 0.000
V2 0.008 0.655 0.334
V3 0.033 0.362 0.671
V4 0.484 0.528 0.004
V5 0.508 0.155 0.334
V6 0.516 0.834 0.667
O1 0.213 0.612 0.690
O2 0.303 0.779 0.023
F1 0.081 0.259 0.552
F2 0.096 0.613 0.217
F3 0.097 0.937 0.884
F4 0.205 0.965 0.359
F5 0.217 0.299 0.026
F6 0.300 0.133 0.692
F7 0.311 0.465 0.359
F8 0.419 0.771 0.551
F9 0.422 0.113 0.217
F10 0.435 0.426 0.885
F11 0.583 0.855 0.785
F12 0.593 0.195 0.451
F13 0.601 0.519 0.115
F14 0.705 0.843 0.309
F15 0.715 0.182 0.977
F16 0.723 0.519 0.643
F17 0.793 0.686 0.976
F18 0.802 0.016 0.644
F19 0.811 0.343 0.309
F20 0.917 0.352 0.782
F21 0.921 0.693 0.451
F22 0.933 0.023 0.118
```

Principal peaks in the range 2θ = 15–90°, by intensity:
| Position (°2θ) | d/Å | Rel. int. | index |
| --- | --- | --- | --- |
| 25.21 | 3.533 | 100.0 | 1 1 1 |
| 18.23 | 4.866 | 56.0 | 0 0 3 |
| 47.99 | 1.896 | 16.4 | 2 2 -1 |
| 39.11 | 2.303 | 10.8 | 2 1 -2 |
| 52.97 | 1.729 | 9.3 | 1 1 -8 |
| 32.78 | 2.732 | 9.2 | 0 2 -1 |
| 36.94 | 2.433 | 8.2 | 0 0 6 |
| 54.04 | 1.697 | 7.6 | 1 3 0 |
| 40.86 | 2.209 | 7.3 | 1 0 6 |
| 55.82 | 1.647 | 7.2 | 3 1 1 |